[1]
Computed X-ray diffraction stick pattern
Compound: TaNb2Zn2O8
Radiation: Cu Ka
Structure: DFT lattice parameters and positions (PBE)
Lines closer than 0.1° are merged.

Main lines, most intense first (2θ from 15° to 90°):
| (hkl) | 2θ (°) | I_rel |
| --- | --- | --- |
| 2 0 0 | 33.99 | 100 |
| 1 -2 1 | 34.09 | 92 |
| 0 1 2 | 26.34 | 86 |
| 1 2 -1 | 35.04 | 79 |
| 1 -1 3 | 33.01 | 71 |
| 0 1 -3 | 27.92 | 71 |
| 1 1 2 | 32.17 | 69 |
| -1 1 2 | 30.63 | 68 |
| 1 1 -3 | 32.52 | 48 |
| 0 1 1 | 19.49 | 45 |

Structure:
Cell: 5.2830 5.9753 10.1329 Å, 103.48 91.81 91.93°
Space group P-1 (No. 2)
Asymmetric unit:
Ta 0.2432 0.3475 0.0047 x2
Nb 0.2729 0.9929 0.2329 x2
Nb 0.2929 0.7603 0.7581 x2
Zn 0.2205 0.5735 0.4382 x2
Zn 0.2637 0.1421 0.5605 x2
O 0.0650 0.1972 0.1301 x2
O 0.0795 0.9329 0.6482 x2
O 0.0858 0.6732 0.1041 x2
O 0.1449 0.4607 0.6139 x2
O 0.3661 0.8445 0.3835 x2
O 0.4023 0.0929 0.8848 x2
O 0.4093 0.2958 0.3659 x2
O 0.4165 0.5581 0.8905 x2

[2]
Computed X-ray diffraction stick pattern
Compound: TbNbO4
Radiation: Cu Ka
Structure: DFT lattice parameters and positions (PBE)
Lines closer than 0.1° are merged.

Main lines, most intense first (2θ from 15° to 90°):
| (hkl) | 2θ (°) | I_rel |
| --- | --- | --- |
| 1 1 1 | 29.00 | 100 |
| 2 0 2 | 48.77 | 32 |
| 3 1 1 | 56.41 | 30 |
| 2 0 0 | 32.93 | 23 |
| 2 2 0 | 47.26 | 16 |
| 1 1 3 | 59.07 | 13 |
| 3 1 3 | 78.89 | 11 |
| 2 2 2 | 60.11 | 10 |
| 4 2 2 | 89.06 | 9 |
| 0 0 2 | 34.94 | 8 |

Structure:
Cell: 5.4401 5.4401 5.1354 Å, 90.00 90.00 90.00°
Space group P4/nbm (No. 125, origin choice 2)
Asymmetric unit:
Tb 0.2500 0.2500 0.0000 x2
Nb 0.2500 0.7500 0.5000 x2
O 0.0612 0.5612 0.2575 x8

[3]
Computed X-ray diffraction stick pattern
Compound: TbNbO4
Radiation: Cu Ka
Structure: DFT lattice parameters and positions (PBE)
Lines closer than 0.1° are merged.

Main lines, most intense first (2θ from 15° to 90°):
| (hkl) | 2θ (°) | I_rel |
| --- | --- | --- |
| 0 2 1 | 28.20 | 100 |
| 2 2 -1 | 29.56 | 88 |
| 2 4 0 | 47.05 | 32 |
| 2 4 -2 | 48.05 | 28 |
| 0 4 0 | 32.06 | 23 |
| 4 2 -1 | 58.29 | 22 |
| 2 0 0 | 33.51 | 21 |
| 2 0 -2 | 34.81 | 17 |
| 2 2 1 | 55.93 | 16 |
| 0 0 2 | 47.34 | 16 |

Structure:
Cell: 7.1928 11.1665 5.1658 Å, 90.00 131.97 90.00°
Space group C2/c (No. 15)
Asymmetric unit:
Tb 0.0000 0.1280 0.2500 x4
Nb 0.0000 0.3913 0.7500 x4
O 0.1597 0.2899 0.6594 x8
O 0.2503 0.0327 0.7994 x8

[4]
Computed X-ray diffraction stick pattern
Compound: Tb3NbO7
Radiation: Cu Ka
Structure: DFT lattice parameters and positions (PBE)
Lines closer than 0.1° are merged.

Main lines, most intense first (2θ from 15° to 90°):
| (hkl) | 2θ (°) | I_rel |
| --- | --- | --- |
| 2 2 0 | 29.13 | 100 |
| 0 2 2 | 28.78 | 93 |
| 2 4 2 | 48.24 | 47 |
| 2 0 2 | 33.50 | 45 |
| 4 2 2 | 57.45 | 36 |
| 0 4 0 | 33.69 | 23 |
| 4 0 0 | 48.56 | 17 |
| 2 2 4 | 56.83 | 14 |
| 1 5 1 | 45.91 | 12 |
| 4 6 2 | 78.32 | 10 |

Structure:
Cell: 7.4994 10.6421 7.6341 Å, 90.00 90.00 90.00°
Space group Pnma (No. 62)
Asymmetric unit:
Tb 0.0154 0.2500 0.2004 x4
Tb 0.2504 0.0218 0.5334 x8
Nb 0.0044 0.2500 0.7457 x4
O 0.0373 0.1247 0.9541 x8
O 0.0417 0.6098 0.4094 x8
O 0.2428 0.6159 0.7673 x8
O 0.2492 0.2500 0.6614 x4

[5]
Computed X-ray diffraction stick pattern
Compound: Tb3NbO7
Radiation: Cu Ka
Structure: DFT lattice parameters and positions (PBE)
Lines closer than 0.1° are merged.

Main lines, most intense first (2θ from 15° to 90°):
| (hkl) | 2θ (°) | I_rel |
| --- | --- | --- |
| 2 0 2 | 28.94 | 100 |
| 2 2 0 | 29.43 | 95 |
| 4 2 2 | 48.55 | 52 |
| 0 2 2 | 33.88 | 45 |
| 2 2 4 | 57.35 | 39 |
| 4 0 0 | 33.71 | 23 |
| 2 4 2 | 58.20 | 19 |
| 0 0 4 | 48.03 | 18 |
| 6 2 0 | 57.68 | 11 |
| 4 0 4 | 59.96 | 10 |

Structure:
Cell: 10.6346 7.3910 7.5775 Å, 90.00 90.00 90.00°
Space group Cmcm (No. 63)
Asymmetric unit:
Tb 0.0000 0.0000 0.0000 x4
Tb 0.2294 0.2855 0.2500 x8
Nb 0.0000 0.5000 0.0000 x4
O 0.0000 0.4232 0.2500 x4
O 0.1292 0.3051 0.5336 x16
O 0.1325 0.0193 0.2500 x8

[6]
Computed X-ray diffraction stick pattern
Compound: Tb3NbO7
Radiation: Cu Ka
Structure: DFT lattice parameters and positions (PBE)
Lines closer than 0.1° are merged.

Main lines, most intense first (2θ from 15° to 90°):
| (hkl) | 2θ (°) | I_rel |
| --- | --- | --- |
| 0 2 2 | 29.02 | 100 |
| 2 4 2 | 48.35 | 28 |
| 2 2 4 | 57.25 | 26 |
| 2 0 2 | 33.57 | 23 |
| 0 0 4 | 48.20 | 15 |
| 0 6 2 | 57.51 | 12 |
| 0 4 0 | 33.76 | 10 |
| 0 4 4 | 60.14 | 9 |
| 2 6 4 | 78.25 | 8 |
| 0 2 6 | 78.02 | 5 |

Structure:
Cell: 7.5476 10.6201 7.5544 Å, 90.00 90.00 90.00°
Space group C222_1 (No. 20)
Asymmetric unit:
Tb 0.0258 0.0000 0.0000 x4
Tb 0.2320 0.2677 0.7541 x8
Nb 0.0034 0.5000 0.0000 x4
O 0.0000 0.1294 0.2500 x4
O 0.0000 0.1378 0.7500 x4
O 0.0000 0.4298 0.7500 x4
O 0.1881 0.3732 0.0383 x8
O 0.2044 0.3770 0.4721 x8

[7]
Computed X-ray diffraction stick pattern
Compound: TbNbO4
Radiation: Cu Ka
Structure: DFT lattice parameters and positions (PBE)
Lines closer than 0.1° are merged.

Main lines, most intense first (2θ from 15° to 90°):
| (hkl) | 2θ (°) | I_rel |
| --- | --- | --- |
| 2 0 0 | 24.16 | 100 |
| 1 1 2 | 31.69 | 81 |
| 3 1 2 | 47.49 | 65 |
| 2 2 0 | 34.43 | 24 |
| 3 3 2 | 59.97 | 19 |
| 4 0 0 | 49.49 | 17 |
| 4 2 0 | 55.81 | 16 |
| 5 1 2 | 71.02 | 15 |
| 2 0 4 | 60.58 | 14 |
| 4 2 4 | 81.91 | 12 |

Structure:
Cell: 7.3668 7.3668 6.7196 Å, 90.00 90.00 90.00°
Space group I4_1/amd (No. 141, origin choice 2)
Asymmetric unit:
Tb 0.0000 0.2500 0.3750 x4
Nb 0.0000 0.2500 0.8750 x4
O 0.0000 0.0587 0.6916 x16

[8]
Computed X-ray diffraction stick pattern
Compound: Tb2Nb2O7
Radiation: Cu Ka
Structure: DFT lattice parameters and positions (PBE)
Lines closer than 0.1° are merged.

Main lines, most intense first (2θ from 15° to 90°):
| (hkl) | 2θ (°) | I_rel |
| --- | --- | --- |
| 2 2 2 | 29.73 | 100 |
| 4 4 0 | 49.53 | 49 |
| 6 2 2 | 58.84 | 43 |
| 4 0 0 | 34.46 | 31 |
| 6 6 2 | 80.42 | 17 |
| 8 4 0 | 82.96 | 13 |
| 4 4 4 | 61.73 | 9 |
| 8 0 0 | 72.66 | 7 |
| 3 3 1 | 37.66 | 6 |
| 3 1 1 | 28.44 | 3 |

Structure:
Cell: 10.4105 10.4105 10.4105 Å, 90.00 90.00 90.00°
Space group Fd-3m (No. 227, origin choice 2)
Asymmetric unit:
Tb 0.0000 0.0000 0.0000 x16
Nb 0.0000 0.0000 0.5000 x16
O 0.0944 0.3750 0.8750 x48
O 0.1250 0.1250 0.1250 x8